1.
# Zn2Cl5O2
Theoretical PXRD pattern, copper Kα. Input: a DFT-relaxed cell (GGA-PBE, Alexandria).
Intensities are scaled so that the largest is 100.

Principal peaks in the range 10° ≤ 2θ ≤ 80°, most intense first:
- 13.6 deg, rel. 100
- 15.3 deg, rel. 23
- 26.2 deg, rel. 23
- 19.6 deg, rel. 20
- 26.3 deg, rel. 19
- 29.3 deg, rel. 18
- 29.5 deg, rel. 16
- 23.4 deg, rel. 15

Cell and atoms:
```
data_Zn2Cl5O2
_space_group_name_H-M_alt 'P 1'
_space_group_IT_number 1
_space_group_name_Hall 'P 1'
_cell_length_a 6.780
_cell_length_b 6.805
_cell_length_c 12.431
_cell_angle_alpha 104.90
_cell_angle_beta 104.36
_cell_angle_gamma 93.17
loop_
_atom_site_label
_atom_site_type_symbol
_atom_site_fract_x
_atom_site_fract_y
_atom_site_fract_z
Zn1 Zn 0.000 0.000 0.000
Zn2 Zn 0.086 0.546 0.159
Zn3 Zn 0.270 0.731 0.503
Zn4 Zn 0.813 0.816 0.662
Cl1 Cl 0.030 0.785 0.829
Cl2 Cl 0.165 0.874 0.150
Cl3 Cl 0.183 0.308 0.020
Cl4 Cl 0.301 0.524 0.331
Cl5 Cl 0.370 0.069 0.524
Cl6 Cl 0.503 0.636 0.642
Cl7 Cl 0.678 0.060 0.010
Cl8 Cl 0.751 0.140 0.657
Cl9 Cl 0.751 0.451 0.144
Cl10 Cl 0.937 0.660 0.508
O1 O 0.347 0.334 0.797
O2 O 0.498 0.451 0.864
O3 O 0.676 0.083 0.326
O4 O 0.864 0.084 0.352
```



2.
# MgTl3Hg6
Theoretical PXRD pattern, copper Kα. Input: a DFT-relaxed cell (GGA-PBE, Alexandria).
Intensities are scaled so that the largest is 100.

Principal peaks in the range 10° ≤ 2θ ≤ 80°, most intense first:
- 31.5 deg, rel. 100
- 36.2 deg, rel. 66
- 30.7 deg, rel. 64
- 28.3 deg, rel. 45
- 40.5 deg, rel. 41
- 33.8 deg, rel. 35
- 39.2 deg, rel. 29
- 29.4 deg, rel. 29

Cell and atoms:
```
data_MgTl3Hg6
_space_group_name_H-M_alt 'P 1 21/m 1'
_space_group_IT_number 11
_space_group_name_Hall '-P 2yb'
_cell_length_a 12.878
_cell_length_b 3.453
_cell_length_c 12.984
_cell_angle_alpha 90.00
_cell_angle_beta 107.11
_cell_angle_gamma 90.00
loop_
_atom_site_label
_atom_site_type_symbol
_atom_site_fract_x
_atom_site_fract_y
_atom_site_fract_z
Mg1 Mg 0.043 0.250 0.197
Tl1 Tl 0.092 0.250 0.603
Tl2 Tl 0.392 0.750 0.041
Tl3 Tl 0.425 0.250 0.361
Hg1 Hg 0.104 0.250 0.981
Hg2 Hg 0.151 0.750 0.388
Hg3 Hg 0.194 0.750 0.820
Hg4 Hg 0.237 0.750 0.185
Hg5 Hg 0.327 0.250 0.558
Hg6 Hg 0.411 0.750 0.782
```